Computed powder diffraction line list of CuHgSeCl for Cu Kα (λ = 1.5418 Å), from a GGA-PBE-relaxed structure.

Top 6 peaks for 10° ≤ 2θ ≤ 90°, most intense first:
2θ/deg	d [Å]	I (rel.)
25.1	3.550	100
31.9	2.809	69
42.6	2.121	38
13.6	6.488	38
32.9	2.724	38
38.4	2.342	37

Structural model:
```
data_CuHgSeCl
_space_group_name_H-M_alt 'P b a m'
_space_group_IT_number 55
_cell_length_a 7.390
_cell_length_b 12.977
_cell_length_c 4.241
_cell_angle_alpha 90.00
_cell_angle_beta 90.00
_cell_angle_gamma 90.00
loop_
_space_group_symop_operation_xyz
'x,y,z'
'-x,-y,-z'
'-x,-y,z'
'x,y,-z'
'x+1/2,-y+1/2,-z'
'-x+1/2,y+1/2,z'
'-x+1/2,y+1/2,-z'
'x+1/2,-y+1/2,z'
loop_
_atom_site_label
_atom_site_type_symbol
_atom_site_fract_x
_atom_site_fract_y
_atom_site_fract_z
Cu1 Cu 0.189 0.031 0.000
Hg1 Hg 0.096 0.753 0.500
Se1 Se 0.159 0.113 0.500
Cl1 Cl 0.182 0.375 0.000
```